# LiMn2O4
Calculated powder XRD pattern, a wavelength of 1.5418 Å. Input: a DFT-relaxed cell (PBE+U, the Materials Project).

Atomic structure:
```
data_LiMn2O4
_space_group_name_H-M_alt 'P -1'
_space_group_IT_number 2
_cell_length_a 2.956
_cell_length_b 5.130
_cell_length_c 5.208
_cell_angle_alpha 108.34
_cell_angle_beta 90.37
_cell_angle_gamma 93.53
loop_
_space_group_symop_operation_xyz
'x,y,z'
'-x,-y,-z'
loop_
_atom_site_label
_atom_site_fract_x
_atom_site_fract_y
_atom_site_fract_z
Li1 0.000 0.000 0.000
Mn1 0.000 0.500 0.500
Mn2 0.500 0.000 0.500
O1 0.023 0.220 0.700
O2 0.461 0.762 0.719
```

The 10 most intense peaks (2θ = 10–90°), low angle first:
| d/Å | 2theta | I_rel |
| --- | --- | --- |
| 4.941 | 17.95 | 100 |
| 2.599 | 34.50 | 13 |
| 2.517 | 35.67 | 10 |
| 2.450 | 36.68 | 13 |
| 2.174 | 41.53 | 21 |
| 2.094 | 43.21 | 19 |
| 2.051 | 44.15 | 18 |
| 1.622 | 56.77 | 5 |
| 1.518 | 61.05 | 5 |
| 1.440 | 64.74 | 7 |